CsNdAuO2: computed powder XRD pattern (Cu Kα), based on a cell relaxed with PBE.
Peak positions follow from Bragg's law for the DFT cell and can differ from measured ones.

Top 12 peaks for 2θ = 10–90°, by angle:
two_theta, intensity, h k l
12.67, 100, 1 0 0
25.10, 23, 1 1 1
25.49, 82, 2 0 0
30.66, 42, 0 1 2
32.17, 61, 1 1 -2
34.39, 53, 1 1 2
35.25, 76, 1 2 0
38.37, 30, 2 1 -2
42.15, 30, 2 1 2
47.70, 24, 3 1 -2
51.54, 29, 3 2 0
52.42, 31, 4 0 0

Lattice parameters (Å, degrees): 7.029 5.468 6.933 90.00 96.18 90.00
Space group P2/c (No. 13)
Inequivalent atoms, fractional coordinates:
Cs (0.000, 0.208, 0.250) x2
Nd (0.500, 0.487, 0.750) x2
Au (0.500, 0.000, 0.000) x2
O (0.305, 0.368, 0.984) x4

***

CsNpAuS2: computed powder XRD pattern (Cu Kα), based on a cell relaxed with PBE.
Peak positions follow from Bragg's law for the DFT cell and can differ from measured ones.

Top 12 peaks for 2θ = 10–90°, by angle:
two_theta, intensity, h k l
11.30, 100, 1 0 0
22.70, 55, 2 0 0
29.38, 51, 1 1 -2
29.45, 31, 0 1 2
33.57, 26, 2 1 -2
33.75, 40, 1 1 2
35.10, 40, 1 2 0
40.53, 17, 2 2 0
40.86, 25, 3 1 -2
41.12, 16, 2 1 2
48.45, 18, 3 2 0
56.90, 19, 0 3 2

Lattice parameters (Å, degrees): 8.071 5.410 7.547 90.00 103.94 90.00
Space group P2/c (No. 13)
Inequivalent atoms, fractional coordinates:
Cs (0.000, 0.189, 0.250) x2
Np (0.500, 0.492, 0.750) x2
Au (0.500, 0.000, 0.000) x2
S (0.280, 0.310, 0.947) x4

***

CsNp4Au3Se12: computed powder XRD pattern (Cu Kα), based on a cell relaxed with PBE.
Peak positions follow from Bragg's law for the DFT cell and can differ from measured ones.

Top 12 peaks for 2θ = 10–90°, by angle:
two_theta, intensity, h k l
24.16, 100, 2 2 0
27.06, 17, 3 0 1
32.15, 9, 3 1 2
34.43, 34, 4 0 0
42.51, 86, 4 2 2
49.49, 17, 4 4 0
51.12, 8, 5 3 0
55.81, 28, 6 2 0
61.68, 8, 4 4 4
67.24, 27, 6 2 4
77.78, 31, 6 6 0
87.91, 10, 6 6 4

Lattice parameters (Å, degrees): 10.419 10.419 10.419 90.00 90.00 90.00
Space group Im-3 (No. 204)
Inequivalent atoms, fractional coordinates:
Cs (0.000, 0.000, 0.000) x2
Np (0.250, 0.250, 0.250) x8
Au (0.000, 0.000, 0.500) x6
Se (0.000, 0.320, 0.170) x24

***

CsNp2Au2Se6: computed powder XRD pattern (Cu Kα), based on a cell relaxed with PBE.
Peak positions follow from Bragg's law for the DFT cell and can differ from measured ones.

Top 12 peaks for 2θ = 10–90°, by angle:
two_theta, intensity, h k l
12.81, 26, 0 0 1
13.73, 29, 0 1 0
13.93, 70, 1 0 0
14.17, 24, 1 1 1
23.38, 31, 2 1 1
26.11, 30, 1 -1 1
26.32, 24, -1 1 1
26.70, 100, 1 2 2
34.51, 45, 1 -1 2
34.94, 42, 2 1 -1
45.90, 23, -1 1 3
48.59, 25, -2 2 1

Lattice parameters (Å, degrees): 7.611 7.700 8.135 63.19 62.84 61.35
Space group P-1 (No. 2)
Inequivalent atoms, fractional coordinates:
Cs (0.000, 0.000, 0.000) x1
Np (0.329, 0.341, 0.996) x2
Au (0.437, 0.702, 0.566) x2
Se (0.077, 0.646, 0.764) x2
Se (0.321, 0.533, 0.228) x2
Se (0.498, 0.934, 0.226) x2

***

Cs4Au2O: computed powder XRD pattern (Cu Kα), based on a cell relaxed with PBE.
Peak positions follow from Bragg's law for the DFT cell and can differ from measured ones.

Top 12 peaks for 2θ = 10–90°, by angle:
two_theta, intensity, h k l
21.17, 27, 1 1 0
23.33, 42, 1 1 2
28.91, 100, 1 1 4
29.38, 18, 0 0 6
30.12, 60, 2 0 0
42.57, 26, 2 0 6
43.11, 22, 2 2 0
50.47, 12, 2 0 8
52.74, 38, 3 1 4
53.03, 14, 2 2 6
54.88, 16, 1 1 10
72.22, 15, 3 1 10

Lattice parameters (Å, degrees): 5.935 5.935 18.242 90.00 90.00 90.00
Space group I4/mmm (No. 139)
Inequivalent atoms, fractional coordinates:
Cs (0.000, 0.000, 0.153) x4
Cs (0.000, 0.500, 0.000) x4
Au (0.000, 0.000, 0.361) x4
O (0.000, 0.000, 0.000) x2

***

Cs5Au2O: computed powder XRD pattern (Cu Kα), based on a cell relaxed with PBE.
Peak positions follow from Bragg's law for the DFT cell and can differ from measured ones.

Top 12 peaks for 2θ = 10–90°, by angle:
two_theta, intensity, h k l
10.84, 62, 0 2 0
13.96, 75, 1 1 0
19.86, 58, 0 2 3
22.47, 30, 0 4 1
23.61, 48, 1 3 2
25.87, 96, 2 0 0
27.50, 100, 0 4 3
31.27, 77, 1 1 5
32.85, 41, 2 2 3
34.74, 44, 1 5 3
38.11, 84, 2 4 3
50.32, 35, 1 3 8

Lattice parameters (Å, degrees): 6.887 16.330 16.024 90.00 90.00 90.00
Space group Cmcm (No. 63)
Inequivalent atoms, fractional coordinates:
Cs (0.000, 0.058, 0.128) x8
Cs (0.000, 0.301, 0.750) x4
Cs (0.000, 0.302, 0.120) x8
Au (0.000, 0.165, 0.569) x8
O (0.000, 0.180, 0.250) x4